[1]
Starting from a crystal structure in Alexandria, relaxed with PBE, the powder diffractogram of Pr5AlSn2 was computed for Cu Kα X-rays.

Structural model:
Lattice parameters (Å, degrees): 7.0770 6.8845 6.8785 61.89 59.10 59.01
Sites, in units of the cell vectors:
Pr1 0.0000 0.0000 0.0000
Pr2 0.0000 0.0000 0.5000
Pr3 0.0000 0.5000 0.0000
Pr4 0.5000 0.0000 0.5000
Pr5 0.5000 0.5000 0.0000
Al1 0.5000 0.5000 0.5000
Sn1 0.0000 0.5000 0.5000
Sn2 0.5000 0.0000 0.0000

Most intense lines, 10° ≤ 2θ ≤ 90°, by angle:
| 2theta | d/Å | I_rel |
| --- | --- | --- |
| 31.59 | 2.832 | 100 |
| 35.89 | 2.502 | 36 |
| 38.10 | 2.362 | 15 |
| 51.66 | 1.769 | 13 |
| 53.34 | 1.718 | 23 |
| 61.79 | 1.501 | 15 |
| 61.87 | 1.500 | 15 |
| 64.81 | 1.439 | 13 |

---

[2]
Starting from a crystal structure in Alexandria, relaxed with PBE, the powder diffractogram of Tb6PrAl2 was computed for Cu Kα X-rays.

Structural model:
Lattice parameters (Å, degrees): 6.5694 6.5694 11.8328 107.87 107.87 32.99
Sites, in units of the cell vectors:
Tb1 0.0190 0.0190 0.3313
Tb2 0.3092 0.3092 0.1262
Tb3 0.3110 0.3110 0.4152
Tb4 0.6890 0.6890 0.5848
Tb5 0.6908 0.6908 0.8738
Tb6 0.9810 0.9810 0.6687
Pr1 0.0000 0.0000 0.0000
Al1 0.3489 0.3489 0.7851
Al2 0.6511 0.6511 0.2149

Most intense lines, 10° ≤ 2θ ≤ 90°, by angle:
| 2theta | d/Å | I_rel |
| --- | --- | --- |
| 25.52 | 3.491 | 20 |
| 31.83 | 2.811 | 45 |
| 32.07 | 2.791 | 50 |
| 32.91 | 2.721 | 97 |
| 33.05 | 2.710 | 100 |
| 48.83 | 1.865 | 19 |
| 57.59 | 1.600 | 30 |
| 59.62 | 1.551 | 22 |